[1]
Structure and calculated PXRD pattern of Li4VCr3O8 (a structure optimized by DFT (PBE+U); Cu Kα).

The 10 most intense peaks (10 to 80 degrees two-theta), sorted by position:
2θ 18.13, I 100; 2θ 35.48, I 26; 2θ 35.59, I 14; 2θ 37.04, I 7; 2θ 43.01, I 83; 2θ 46.93, I 9; 2θ 56.73, I 9; 2θ 62.07, I 15; 2θ 62.47, I 15; 2θ 62.82, I 15

a = 5.1172 Å, b = 5.1814 Å, c = 5.9430 Å
α = 73.32°, β = 90.00°, γ = 80.80°
Sites, in units of the cell vectors:
Li 0.2434 0.4992 0.1257
Li 0.2475 0.5017 0.6241
Li 0.7525 0.4983 0.3759
Li 0.7566 0.5008 0.8743
V 0.5000 0.0000 0.0000
Cr 0.9999 0.0002 0.2493
Cr 0.0001 0.9998 0.7507
Cr 0.5000 0.0000 0.5000
O 0.1211 0.2303 0.9421
O 0.1290 0.2249 0.4440
O 0.3713 0.7732 0.8055
O 0.3709 0.7736 0.3079
O 0.6291 0.2264 0.6921
O 0.6287 0.2268 0.1945
O 0.8710 0.7751 0.5560
O 0.8789 0.7697 0.0579

[2]
Structure and calculated PXRD pattern of BaSrEuVO6 (a structure optimized by DFT (PBE+U); Cu Kα).

The 10 most intense peaks (10 to 80 degrees two-theta), sorted by position:
2θ 18.35, I 13; 2θ 30.19, I 100; 2θ 35.56, I 11; 2θ 43.22, I 32; 2θ 47.32, I 6; 2θ 53.62, I 39; 2θ 57.16, I 3; 2θ 62.78, I 19; 2θ 71.23, I 18; 2θ 79.27, I 6

a = 5.9207 Å, b = 5.9207 Å, c = 5.9207 Å
α = 60.00°, β = 60.00°, γ = 60.00°
Sites, in units of the cell vectors:
Ba 0.0000 0.0000 0.0000
Sr 0.5000 0.5000 0.5000
Eu 0.7500 0.7500 0.7500
V 0.2500 0.2500 0.2500
O 0.0216 0.0216 0.4784
O 0.0216 0.4784 0.0216
O 0.0216 0.4784 0.4784
O 0.4784 0.0216 0.0216
O 0.4784 0.0216 0.4784
O 0.4784 0.4784 0.0216

[3]
Structure and calculated PXRD pattern of Li9Mn2Co5O16 (a structure optimized by DFT (PBE+U); Cu Kα).

The 10 most intense peaks (10 to 80 degrees two-theta), sorted by position:
2θ 18.35, I 100; 2θ 35.17, I 16; 2θ 36.50, I 25; 2θ 42.32, I 30; 2θ 44.18, I 26; 2θ 44.41, I 26; 2θ 62.55, I 7; 2θ 62.92, I 7; 2θ 63.12, I 15; 2θ 63.82, I 7

a = 5.8966 Å, b = 6.4881 Å, c = 7.7590 Å
α = 89.05°, β = 81.47°, γ = 76.88°
Sites, in units of the cell vectors:
Li 0.0000 0.0000 0.0000
Li 0.0022 0.4828 0.4763
Li 0.2343 0.7479 0.2448
Li 0.2588 0.2381 0.7346
Li 0.4934 0.0019 0.9943
Li 0.5208 0.4819 0.4728
Li 0.7599 0.2415 0.7261
Li 0.7678 0.7560 0.2360
Li 0.8780 0.1170 0.3595
Mn 0.1289 0.8709 0.6074
Mn 0.8849 0.6182 0.8585
Co 0.1246 0.3670 0.1193
Co 0.3812 0.1159 0.3605
Co 0.3835 0.6208 0.8614
Co 0.6355 0.3626 0.1189
Co 0.6371 0.8657 0.6039
O 0.0560 0.6709 0.0408
O 0.0764 0.1578 0.5510
O 0.1796 0.5731 0.6948
O 0.1983 0.0723 0.1766
O 0.3165 0.9061 0.7925
O 0.3222 0.4262 0.2937
O 0.4229 0.8083 0.4478
O 0.4441 0.3349 0.9287
O 0.5594 0.1530 0.5463
O 0.5913 0.6771 0.0157
O 0.6752 0.0649 0.1761
O 0.7086 0.5754 0.6744
O 0.8103 0.4365 0.2836
O 0.8385 0.9126 0.7778
O 0.9417 0.3275 0.9242
O 0.9551 0.8072 0.4373

[4]
Structure and calculated PXRD pattern of MnO2 (a structure optimized by DFT (PBE+U); Cu Kα).

The 10 most intense peaks (10 to 80 degrees two-theta), sorted by position:
2θ 18.50, I 100; 2θ 21.00, I 98; 2θ 32.30, I 53; 2θ 33.88, I 73; 2θ 42.41, I 48; 2θ 43.20, I 20; 2θ 43.50, I 29; 2θ 46.64, I 38; 2θ 51.54, I 26; 2θ 65.92, I 36

a = 4.9317 Å, b = 4.9317 Å, c = 9.5901 Å
α = 90.00°, β = 90.00°, γ = 145.81°
Sites, in units of the cell vectors:
Mn 0.1349 0.8651 0.5762
Mn 0.1349 0.8651 0.9238
Mn 0.8651 0.1349 0.0762
Mn 0.8651 0.1349 0.4238
O 0.0524 0.9476 0.7500
O 0.2377 0.7623 0.1082
O 0.2377 0.7623 0.3918
O 0.5000 0.5000 0.0000
O 0.5000 0.5000 0.5000
O 0.7623 0.2377 0.6082
O 0.7623 0.2377 0.8918
O 0.9476 0.0524 0.2500

[5]
Structure and calculated PXRD pattern of Ba2Ca2Tl2Fe3O10 (a structure optimized by DFT (PBE+U); Cu Kα).

The 10 most intense peaks (10 to 80 degrees two-theta), sorted by position:
2θ 25.40, I 24; 2θ 25.55, I 22; 2θ 28.11, I 96; 2θ 28.26, I 34; 2θ 31.35, I 70; 2θ 31.84, I 100; 2θ 32.22, I 31; 2θ 34.11, I 29; 2θ 45.49, I 25; 2θ 45.81, I 29

a = 3.9616 Å, b = 3.9879 Å, c = 18.6002 Å
α = 83.95°, β = 84.12°, γ = 90.00°
Sites, in units of the cell vectors:
Ba 0.0000 0.0000 0.0000
Ba 0.3260 0.3003 0.4256
Ca 0.1055 0.0910 0.8036
Ca 0.2275 0.1919 0.6223
Tl 0.4355 0.3840 0.1506
Tl 0.8857 0.8250 0.2747
Fe 0.5564 0.5509 0.8883
Fe 0.6685 0.6380 0.7129
Fe 0.7735 0.7398 0.5378
O 0.0576 0.5516 0.8849
O 0.1686 0.6366 0.7130
O 0.2723 0.7377 0.5409
O 0.3908 0.5049 0.2626
O 0.4834 0.4953 0.0353
O 0.5576 0.0521 0.8856
O 0.6693 0.1377 0.7127
O 0.7727 0.2388 0.5401
O 0.8401 0.8308 0.3896
O 0.9306 0.0508 0.1627